1.
Computed powder diffractogram
Compound: LiSm2As4Rh3
Radiation: Cu Ka
Structure: DFT lattice parameters and positions (PBE)
Kinematic intensities with the Lorentz-polarization factor, no thermal factor.

Crystal structure
a = 4.282 Å, b = 4.282 Å, c = 10.095 Å
α = 90.00°, β = 90.00°, γ = 90.00°
Space group P-4m2 (No. 115)
Unique sites:
Li1 0.000 0.000 0.000 x1
Sm1 0.000 0.500 0.748 x2
As1 0.000 0.000 0.500 x1
As2 0.000 0.500 0.137 x2
As3 0.500 0.500 0.500 x1
Rh1 0.000 0.500 0.379 x2
Rh2 0.500 0.500 0.000 x1

Main lines, most intense first (2θ = 10–80°):
| 2θ (°) | intensity | hkl |
| --- | --- | --- |
| 34.54 | 100 | 1 1 2 |
| 33.88 | 97 | 1 0 3 |
| 42.21 | 75 | 2 0 0 |
| 55.18 | 47 | 2 1 3 |
| 29.50 | 37 | 1 1 0 |
| 49.94 | 35 | 1 0 5 |
| 67.40 | 28 | 2 1 5 |
| 61.22 | 24 | 2 2 0 |
| 72.23 | 23 | 3 1 2 |
| 63.22 | 15 | 1 1 6 |

---

2.
Computed powder diffractogram
Compound: LiTcAs2Ru
Radiation: Cu Ka
Structure: DFT lattice parameters and positions (PBE)
Kinematic intensities with the Lorentz-polarization factor, no thermal factor.

Crystal structure
a = 4.389 Å, b = 4.389 Å, c = 3.887 Å
α = 90.00°, β = 90.00°, γ = 90.00°
Space group P4/mmm (No. 123)
Unique sites:
Li1 0.000 0.000 0.000 x1
Tc1 0.500 0.500 0.500 x1
As1 0.000 0.500 0.000 x2
Ru1 0.000 0.000 0.500 x1

Main lines, most intense first (2θ = 10–80°):
| 2θ (°) | intensity | hkl |
| --- | --- | --- |
| 37.07 | 100 | 1 1 1 |
| 41.14 | 39 | 2 0 0 |
| 72.29 | 27 | 3 1 1 |
| 63.99 | 21 | 2 0 2 |
| 46.74 | 14 | 0 0 2 |
| 59.58 | 13 | 2 2 0 |
| 78.95 | 11 | 2 2 2 |
| 28.77 | 2 | 1 1 0 |
| 22.88 | 1 | 0 0 1 |
| 47.59 | 1 | 2 0 1 |

---

3.
Computed powder diffractogram
Compound: LiTmAsS4
Radiation: Cu Ka
Structure: DFT lattice parameters and positions (PBE)
Kinematic intensities with the Lorentz-polarization factor, no thermal factor.

Crystal structure
a = 7.577 Å, b = 7.696 Å, c = 10.573 Å
α = 90.00°, β = 90.00°, γ = 90.00°
Space group Imma (No. 74)
Unique sites:
Li1 0.250 0.250 0.250 x4
Tm1 0.000 0.000 0.000 x4
As1 0.000 0.250 0.632 x4
S1 0.000 0.000 0.255 x8
S2 0.245 0.250 0.008 x8

Main lines, most intense first (2θ = 10–80°):
| 2θ (°) | intensity | hkl |
| --- | --- | --- |
| 27.33 | 100 | 1 2 1 |
| 23.50 | 64 | 2 0 0 |
| 14.38 | 63 | 1 0 1 |
| 48.18 | 63 | 2 2 4 |
| 27.92 | 59 | 1 0 3 |
| 16.77 | 41 | 0 0 2 |
| 33.19 | 34 | 2 2 0 |
| 43.72 | 31 | 3 2 1 |
| 37.40 | 27 | 2 2 2 |
| 41.44 | 20 | 0 2 4 |

---

4.
Computed powder diffractogram
Compound: Li6Sb2As
Radiation: Cu Ka
Structure: DFT lattice parameters and positions (PBE)
Kinematic intensities with the Lorentz-polarization factor, no thermal factor.

Crystal structure
a = 7.7038 Å, b = 7.7038 Å, c = 3.2403 Å
α = 90.00°, β = 90.00°, γ = 120.00°
Space group P-62m (No. 189)
Unique sites:
Li1 0.0000 0.2703 0.0000 x3
Li2 0.0000 0.6387 0.5000 x3
Sb1 0.3333 0.6667 0.0000 x2
As1 0.0000 0.0000 0.5000 x1

Main lines, most intense first (2θ = 10–80°):
| 2θ (°) | intensity | hkl |
| --- | --- | --- |
| 23.09 | 100 | 1 1 0 |
| 30.67 | 39 | 1 0 1 |
| 40.57 | 28 | 3 0 0 |
| 45.58 | 28 | 2 1 1 |
| 38.74 | 24 | 2 0 1 |
| 36.23 | 19 | 1 1 1 |
| 47.19 | 15 | 2 2 0 |
| 62.16 | 13 | 1 1 2 |
| 63.94 | 12 | 4 1 0 |
| 57.34 | 12 | 3 1 1 |

---

5.
Computed powder diffractogram
Compound: Li3SbAs
Radiation: Cu Ka
Structure: DFT lattice parameters and positions (PBE)
Kinematic intensities with the Lorentz-polarization factor, no thermal factor.

Crystal structure
a = 6.195 Å, b = 7.182 Å, c = 9.117 Å
α = 90.00°, β = 105.12°, γ = 90.00°
Space group P2_1/c (No. 14)
Unique sites:
Li1 0.075 0.102 0.397 x4
Li2 0.180 0.568 0.631 x4
Li3 0.297 0.068 0.836 x4
Sb1 0.490 0.672 0.902 x4
As1 0.051 0.747 0.372 x4

Main lines, most intense first (2θ = 10–80°):
| 2θ (°) | intensity | hkl |
| --- | --- | --- |
| 23.71 | 100 | 0 1 2 |
| 33.93 | 33 | 2 1 -2 |
| 29.88 | 30 | 2 0 0 |
| 24.79 | 29 | 0 2 0 |
| 42.64 | 24 | 2 1 2 |
| 42.97 | 17 | 0 3 2 |
| 39.20 | 16 | 2 2 0 |
| 15.93 | 16 | 0 1 1 |
| 41.02 | 13 | 0 0 4 |
| 21.73 | 12 | 1 0 -2 |

---

6.
Computed powder diffractogram
Compound: Li5SbAs
Radiation: Cu Ka
Structure: DFT lattice parameters and positions (PBE)
Kinematic intensities with the Lorentz-polarization factor, no thermal factor.

Crystal structure
a = 4.291 Å, b = 4.291 Å, c = 6.811 Å
α = 90.00°, β = 90.00°, γ = 90.00°
Space group P4/mmm (No. 123)
Unique sites:
Li1 0.000 0.000 0.000 x1
Li2 0.000 0.500 0.248 x4
Sb1 0.000 0.000 0.500 x1
As1 0.500 0.500 0.000 x1

Main lines, most intense first (2θ = 10–80°):
| 2θ (°) | intensity | hkl |
| --- | --- | --- |
| 24.52 | 100 | 1 0 1 |
| 39.79 | 37 | 1 1 2 |
| 49.34 | 29 | 2 1 1 |
| 29.44 | 28 | 1 1 0 |
| 45.18 | 19 | 1 0 3 |
| 26.17 | 19 | 0 0 2 |
| 42.12 | 16 | 2 0 0 |
| 63.47 | 14 | 2 1 3 |
| 50.26 | 13 | 2 0 2 |
| 75.40 | 11 | 3 1 2 |

---

7.
Computed powder diffractogram
Compound: Li3AsSe4
Radiation: Cu Ka
Structure: DFT lattice parameters and positions (PBE)
Kinematic intensities with the Lorentz-polarization factor, no thermal factor.

Crystal structure
a = 8.331 Å, b = 7.082 Å, c = 6.697 Å
α = 90.00°, β = 90.00°, γ = 90.00°
Space group Pmn2_1 (No. 31)
Unique sites:
Li1 0.000 0.146 0.000 x2
Li2 0.242 0.314 0.483 x4
As1 0.000 0.818 0.487 x2
Se1 0.000 0.131 0.609 x2
Se2 0.000 0.806 0.133 x2
Se3 0.232 0.661 0.601 x4

Main lines, most intense first (2θ = 10–80°):
| 2θ (°) | intensity | hkl |
| --- | --- | --- |
| 28.20 | 100 | 2 1 1 |
| 26.62 | 69 | 0 0 2 |
| 24.80 | 64 | 2 1 0 |
| 28.51 | 56 | 0 2 1 |
| 47.99 | 51 | 2 1 3 |
| 44.09 | 45 | 2 3 0 |
| 16.43 | 39 | 1 1 0 |
| 16.99 | 34 | 1 0 1 |
| 52.25 | 34 | 2 3 2 |
| 36.70 | 31 | 2 1 2 |

---

8.
Computed powder diffractogram
Compound: LiSiAs
Radiation: Cu Ka
Structure: DFT lattice parameters and positions (PBE)
Kinematic intensities with the Lorentz-polarization factor, no thermal factor.

Crystal structure
a = 4.5090 Å, b = 4.5090 Å, c = 2.8052 Å
α = 90.00°, β = 90.00°, γ = 120.00°
Space group P-6m2 (No. 187)
Unique sites:
Li1 0.0000 0.0000 0.0000 x1
Si1 0.3333 0.6667 0.5000 x1
As1 0.6667 0.3333 0.5000 x1

Main lines, most intense first (2θ = 10–80°):
| 2θ (°) | intensity | hkl |
| --- | --- | --- |
| 22.77 | 100 | 1 0 0 |
| 39.99 | 69 | 1 1 0 |
| 39.56 | 60 | 1 0 1 |
| 52.04 | 52 | 1 1 1 |
| 31.90 | 36 | 0 0 1 |
| 57.51 | 20 | 2 0 1 |
| 72.35 | 20 | 2 1 1 |
| 46.51 | 15 | 2 0 0 |
| 62.98 | 12 | 2 1 0 |
| 72.64 | 12 | 3 0 0 |

---

9.
Computed powder diffractogram
Compound: Li2SiAs2
Radiation: Cu Ka
Structure: DFT lattice parameters and positions (PBE)
Kinematic intensities with the Lorentz-polarization factor, no thermal factor.

Crystal structure
a = 3.532 Å, b = 12.908 Å, c = 8.402 Å
α = 90.00°, β = 90.00°, γ = 90.00°
Space group Cmcm (No. 63)
Unique sites:
Li1 0.000 0.153 0.056 x8
Si1 0.000 0.401 0.250 x4
As1 0.000 0.224 0.750 x4
As2 0.000 0.500 0.000 x4

Main lines, most intense first (2θ = 10–80°):
| 2θ (°) | intensity | hkl |
| --- | --- | --- |
| 25.30 | 100 | 0 2 2 |
| 48.78 | 44 | 1 5 2 |
| 34.55 | 43 | 1 3 1 |
| 32.81 | 35 | 1 3 0 |
| 17.33 | 33 | 0 2 1 |
| 26.16 | 33 | 1 1 0 |
| 28.27 | 25 | 1 1 1 |
| 27.64 | 24 | 0 4 0 |
| 47.48 | 21 | 0 6 2 |
| 43.07 | 21 | 0 0 4 |

---

10.
Computed powder diffractogram
Compound: Li2Si2As
Radiation: Cu Ka
Structure: DFT lattice parameters and positions (PBE)
Kinematic intensities with the Lorentz-polarization factor, no thermal factor.

Crystal structure
a = 7.734 Å, b = 7.734 Å, c = 2.669 Å
α = 90.00°, β = 90.00°, γ = 90.00°
Space group P4/mbm (No. 127)
Unique sites:
Li1 0.194 0.306 0.000 x4
Si1 0.106 0.606 0.500 x4
As1 0.000 0.000 0.500 x2

Main lines, most intense first (2θ = 10–80°):
| 2θ (°) | intensity | hkl |
| --- | --- | --- |
| 23.00 | 100 | 2 0 0 |
| 36.75 | 81 | 3 1 0 |
| 41.10 | 59 | 2 0 1 |
| 50.63 | 56 | 3 1 1 |
| 16.21 | 46 | 1 1 0 |
| 32.75 | 43 | 2 2 0 |
| 33.58 | 42 | 0 0 1 |
| 71.56 | 36 | 5 1 1 |
| 61.10 | 26 | 5 1 0 |
| 47.62 | 22 | 2 2 1 |

---

11.
Computed powder diffractogram
Compound: LiSn2As2
Radiation: Cu Ka
Structure: DFT lattice parameters and positions (PBE)
Kinematic intensities with the Lorentz-polarization factor, no thermal factor.

Crystal structure
a = 4.0480 Å, b = 4.0480 Å, c = 25.3453 Å
α = 90.00°, β = 90.00°, γ = 120.00°
Space group R-3m (No. 166, hexagonal axes)
Unique sites:
Li1 0.0000 0.0000 0.0000 x3
Sn1 0.0000 0.0000 0.2149 x6
As1 0.0000 0.0000 0.3961 x6

Main lines, most intense first (2θ = 10–80°):
| 2θ (°) | intensity | hkl |
| --- | --- | --- |
| 31.02 | 100 | 0 1 5 |
| 44.78 | 42 | 1 1 0 |
| 26.38 | 32 | 0 1 2 |
| 44.09 | 24 | 1 0 10 |
| 35.65 | 23 | 1 0 7 |
| 55.47 | 20 | 2 0 5 |
| 10.47 | 20 | 0 0 3 |
| 73.93 | 17 | 1 2 5 |
| 21.03 | 17 | 0 0 6 |
| 64.60 | 16 | 1 0 16 |

---

12.
Computed powder diffractogram
Compound: SrLiAs2
Radiation: Cu Ka
Structure: DFT lattice parameters and positions (PBE)
Kinematic intensities with the Lorentz-polarization factor, no thermal factor.

Crystal structure
a = 7.593 Å, b = 4.566 Å, c = 10.817 Å
α = 90.00°, β = 90.00°, γ = 90.00°
Space group Pnma (No. 62)
Unique sites:
Sr1 0.136 0.250 0.128 x4
Li1 0.009 0.250 0.620 x4
As1 0.177 0.250 0.833 x4
As2 0.200 0.250 0.417 x4

Main lines, most intense first (2θ = 10–80°):
| 2θ (°) | intensity | hkl |
| --- | --- | --- |
| 30.63 | 100 | 2 1 0 |
| 33.80 | 57 | 1 1 3 |
| 31.62 | 42 | 0 1 3 |
| 39.47 | 40 | 0 2 0 |
| 23.43 | 35 | 2 0 0 |
| 45.73 | 34 | 2 1 4 |
| 33.13 | 31 | 0 0 4 |
| 20.16 | 25 | 1 0 2 |
| 34.30 | 21 | 2 0 3 |
| 52.18 | 19 | 4 1 0 |

---

13.
Computed powder diffractogram
Compound: LiTc2As2
Radiation: Cu Ka
Structure: DFT lattice parameters and positions (PBE)
Kinematic intensities with the Lorentz-polarization factor, no thermal factor.

Crystal structure
a = 4.171 Å, b = 4.171 Å, c = 10.189 Å
α = 90.00°, β = 90.00°, γ = 90.00°
Space group I4/mmm (No. 139)
Unique sites:
Li1 0.000 0.000 0.000 x2
Tc1 0.000 0.500 0.250 x4
As1 0.000 0.000 0.376 x4

Main lines, most intense first (2θ = 10–80°):
| 2θ (°) | intensity | hkl |
| --- | --- | --- |
| 47.13 | 100 | 1 1 4 |
| 17.41 | 80 | 0 0 2 |
| 35.16 | 64 | 1 1 2 |
| 43.39 | 52 | 2 0 0 |
| 23.04 | 48 | 1 0 1 |
| 34.04 | 20 | 1 0 3 |
| 63.03 | 17 | 2 2 0 |
| 74.27 | 14 | 3 1 2 |
| 49.69 | 12 | 2 1 1 |
| 63.18 | 10 | 1 1 6 |

---

14.
Computed powder diffractogram
Compound: LiTlTeAs
Radiation: Cu Ka
Structure: DFT lattice parameters and positions (PBE)
Kinematic intensities with the Lorentz-polarization factor, no thermal factor.

Crystal structure
a = 4.462 Å, b = 3.789 Å, c = 6.287 Å
α = 90.00°, β = 99.48°, γ = 90.00°
Space group Pm (No. 6)
Unique sites:
Li1 0.000 0.000 0.000 x1
Tl1 0.164 0.000 0.507 x1
Te1 0.535 0.500 0.101 x1
As1 0.686 0.500 0.720 x1

Main lines, most intense first (2θ = 10–80°):
| 2θ (°) | intensity | hkl |
| --- | --- | --- |
| 31.15 | 100 | 1 1 0 |
| 27.59 | 76 | 0 1 1 |
| 26.70 | 56 | 1 0 1 |
| 32.47 | 40 | 1 0 -2 |
| 37.48 | 32 | 0 1 2 |
| 22.77 | 29 | 1 0 -1 |
| 32.94 | 27 | 1 1 -1 |
| 14.28 | 25 | 0 0 1 |
| 28.80 | 25 | 0 0 2 |
| 52.74 | 24 | 2 1 -2 |